[1]
Gd2ZnTe2S2O14: simulated PXRD pattern (CuKα), based on a structure optimized by DFT (GGA-PBE).
Peak positions follow from Bragg's law for the DFT cell and can differ from measured ones.

Peak list (10 most intense, 10 to 90 degrees two-theta, most intense first)
(0 2 0), 25.65°, 3.474 Å, I 100
(-1 2 1), 30.58°, 2.924 Å, I 78
(1 1 2), 24.91°, 3.575 Å, I 72
(1 0 -1), 24.68°, 3.607 Å, I 68
(1 0 -2), 35.45°, 2.532 Å, I 66
(0 1 1), 13.47°, 6.571 Å, I 65
(1 0 2), 27.05°, 3.297 Å, I 56
(2 0 0), 35.83°, 2.506 Å, I 43
(1 2 1), 27.64°, 3.227 Å, I 42
(1 0 1), 18.79°, 4.722 Å, I 36

Crystal structure
Unit cell a=5.2361 b=7.7902 c=8.0322 alpha=63.23 beta=73.43 gamma=84.98
Space group P-1 (No. 2)
Unique sites:
Gd  0.0674  0.2524  0.0149 [2 per cell]
Zn  0.0000  0.0000  0.5000 [1 per cell]
Te  0.4953  0.7316  0.6519 [2 per cell]
S  0.2549  0.7476  0.2575 [2 per cell]
O  0.1357  0.7593  0.4420 [2 per cell]
O  0.1399  0.5803  0.2574 [2 per cell]
O  0.1866  0.9198  0.0918 [2 per cell]
O  0.2528  0.5602  0.8881 [2 per cell]
O  0.2598  0.9343  0.6629 [2 per cell]
O  0.2752  0.1935  0.2451 [2 per cell]
O  0.4539  0.2654  0.7719 [2 per cell]

=====

[2]
GdTmSO2: simulated PXRD pattern (CuKα), based on a structure optimized by DFT (GGA-PBE).
Peak positions follow from Bragg's law for the DFT cell and can differ from measured ones.

Peak list (10 most intense, 10 to 90 degrees two-theta, most intense first)
(1 0 1), 30.51°, 2.930 Å, I 100
(0 0 2), 27.20°, 3.278 Å, I 43
(1 1 0), 48.13°, 1.890 Å, I 30
(0 1 2), 38.85°, 2.318 Å, I 30
(1 0 3), 50.15°, 1.819 Å, I 25
(1 1 2), 56.14°, 1.638 Å, I 21
(0 2 1), 58.07°, 1.588 Å, I 17
(0 1 4), 63.45°, 1.466 Å, I 15
(2 1 1), 78.68°, 1.216 Å, I 14
(2 0 4), 83.45°, 1.158 Å, I 11

Crystal structure
Unit cell a=3.7809 b=3.7809 c=6.5630 alpha=90.00 beta=90.00 gamma=120.00
Space group P3m1 (No. 156)
Unique sites:
Gd  0.0000  0.0000  0.0000 [1 per cell]
Tm  0.3333  0.6667  0.5644 [1 per cell]
S  0.6667  0.3333  0.2856 [1 per cell]
O  0.0000  0.0000  0.6460 [1 per cell]
O  0.3333  0.6667  0.9050 [1 per cell]

=====

[3]
Gd3Sb5O12: simulated PXRD pattern (CuKα), based on a structure optimized by DFT (GGA-PBE).
Peak positions follow from Bragg's law for the DFT cell and can differ from measured ones.

Peak list (10 most intense, 10 to 90 degrees two-theta, most intense first)
(2 2 2), 28.67°, 3.113 Å, I 100
(4 4 0), 47.70°, 1.907 Å, I 43
(6 2 2), 56.61°, 1.626 Å, I 39
(4 0 0), 33.23°, 2.696 Å, I 35
(6 6 2), 77.09°, 1.237 Å, I 14
(1 1 0), 11.60°, 7.626 Å, I 12
(8 4 0), 79.49°, 1.206 Å, I 11
(8 4 4), 88.91°, 1.101 Å, I 10
(4 4 4), 59.37°, 1.557 Å, I 9
(8 0 0), 69.76°, 1.348 Å, I 6

Crystal structure
Unit cell a=10.7850 b=10.7850 c=10.7850 alpha=90.00 beta=90.00 gamma=90.00
Space group I-43m (No. 217)
Unique sites:
Gd  0.0000  0.2500  0.5000 [12 per cell]
Sb  0.0000  0.0000  0.2766 [12 per cell]
Sb  0.2411  0.2411  0.7589 [8 per cell]
O  0.1017  0.1017  0.6088 [24 per cell]
O  0.1382  0.1382  0.3387 [24 per cell]

=====

[4]
GdY2SbO7: simulated PXRD pattern (CuKα), based on a structure optimized by DFT (GGA-PBE).
Peak positions follow from Bragg's law for the DFT cell and can differ from measured ones.

Peak list (10 most intense, 10 to 90 degrees two-theta, most intense first)
(2 2 0), 29.45°, 3.033 Å, I 100
(0 2 2), 29.25°, 3.053 Å, I 97
(2 4 2), 48.91°, 1.862 Å, I 61
(2 0 2), 33.98°, 2.638 Å, I 41
(4 2 2), 58.14°, 1.587 Å, I 38
(2 2 4), 57.82°, 1.595 Å, I 29
(0 4 0), 34.10°, 2.629 Å, I 19
(0 0 4), 48.56°, 1.875 Å, I 18
(4 0 0), 49.08°, 1.856 Å, I 14
(2 6 0), 58.21°, 1.585 Å, I 12

Crystal structure
Unit cell a=7.4246 b=10.5160 c=7.4995 alpha=90.00 beta=90.00 gamma=90.00
Space group C222_1 (No. 20)
Unique sites:
Gd  0.0018  0.0000  0.0000 [4 per cell]
Y  0.2341  0.2659  0.2490 [8 per cell]
Sb  0.9999  0.5000  0.0000 [4 per cell]
O  0.0000  0.1320  0.7500 [4 per cell]
O  0.0000  0.1373  0.2500 [4 per cell]
O  0.0000  0.4311  0.2500 [4 per cell]
O  0.1966  0.3749  0.9695 [8 per cell]
O  0.1986  0.3752  0.5285 [8 per cell]

=====

[5]
Gd2Se2O7: simulated PXRD pattern (CuKα), based on a structure optimized by DFT (GGA-PBE).
Peak positions follow from Bragg's law for the DFT cell and can differ from measured ones.

Peak list (10 most intense, 10 to 90 degrees two-theta, most intense first)
(2 2 1), 29.26°, 3.052 Å, I 100
(6 2 1), 57.61°, 1.600 Å, I 31
(4 0 0), 33.73°, 2.657 Å, I 30
(4 0 2), 48.87°, 1.864 Å, I 25
(1 1 0), 11.77°, 7.516 Å, I 15
(2 2 3), 58.35°, 1.581 Å, I 14
(0 0 2), 34.29°, 2.615 Å, I 13
(4 4 0), 48.45°, 1.879 Å, I 13
(4 4 2), 60.69°, 1.526 Å, I 12
(6 2 3), 79.16°, 1.210 Å, I 10

Crystal structure
Unit cell a=10.6291 b=10.6291 c=5.2298 alpha=90.00 beta=90.00 gamma=90.00
Space group P4_2/ncm (No. 138, origin choice 2)
Unique sites:
Gd  0.1275  0.6275  0.0000 [8 per cell]
Se  0.1297  0.1297  0.0355 [8 per cell]
O  0.0022  0.6807  0.6287 [16 per cell]
O  0.0660  0.0660  0.3109 [8 per cell]
O  0.2500  0.7500  0.2500 [4 per cell]